(1)
Theoretical powder diffraction line list of TlV2AgO6 for Cu Kα, 1.54184 Å, from DFT lattice parameters and positions (PBE+U).
No peak broadening, texture or thermal motion is included.

Principal peaks in the range 2θ from 10° to 90°, by angle:
| d_spacing | I_rel |
| --- | --- |
| 5.327 | 60 |
| 3.734 | 61 |
| 3.434 | 100 |
| 3.278 | 36 |
| 2.983 | 74 |
| 2.906 | 57 |
| 2.892 | 68 |
| 2.782 | 30 |
| 2.454 | 32 |
| 1.856 | 41 |

Atomic structure:
Unit cell a=7.605 b=7.605 c=5.989 alpha=100.82 beta=100.82 gamma=87.02
Atoms (fractional coordinates):
Tl: 0.215 0.785 0.750
Tl: 0.785 0.215 0.250
V: 0.133 0.296 0.782
V: 0.296 0.133 0.282
V: 0.704 0.867 0.718
V: 0.867 0.704 0.218
Ag: 0.396 0.604 0.250
Ag: 0.604 0.396 0.750
O: 0.072 0.611 0.273
O: 0.149 0.170 0.017
O: 0.170 0.149 0.517
O: 0.293 0.456 0.856
O: 0.389 0.928 0.227
O: 0.456 0.293 0.356
O: 0.544 0.707 0.644
O: 0.611 0.072 0.773
O: 0.707 0.544 0.144
O: 0.830 0.851 0.483
O: 0.851 0.830 0.983
O: 0.928 0.389 0.727

=====

(2)
Theoretical powder diffraction line list of UAg2W2O10 for Cu Kα, 1.54184 Å, from DFT lattice parameters and positions (PBE+U).
No peak broadening, texture or thermal motion is included.

Principal peaks in the range 2θ from 10° to 90°, by angle:
| d_spacing | I_rel |
| --- | --- |
| 6.547 | 51 |
| 3.445 | 100 |
| 3.404 | 84 |
| 3.341 | 46 |
| 3.156 | 91 |
| 2.823 | 78 |
| 2.711 | 46 |
| 2.678 | 63 |
| 1.910 | 31 |
| 1.830 | 38 |

Atomic structure:
Unit cell a=8.607 b=7.642 c=13.149 alpha=90.00 beta=95.24 gamma=90.00
Atoms (fractional coordinates):
U: 0.025 0.121 0.252
U: 0.025 0.379 0.752
U: 0.975 0.621 0.248
U: 0.975 0.879 0.748
Ag: 0.196 0.117 0.548
Ag: 0.196 0.383 0.048
Ag: 0.198 0.631 0.539
Ag: 0.198 0.869 0.039
Ag: 0.802 0.131 0.961
Ag: 0.802 0.369 0.461
Ag: 0.804 0.617 0.952
Ag: 0.804 0.883 0.452
W: 0.369 0.629 0.831
W: 0.369 0.871 0.331
W: 0.370 0.130 0.834
W: 0.370 0.370 0.334
W: 0.630 0.630 0.666
W: 0.630 0.870 0.166
W: 0.631 0.129 0.669
W: 0.631 0.371 0.169
O: 0.005 0.123 0.392
O: 0.005 0.377 0.892
O: 0.040 0.118 0.110
O: 0.040 0.382 0.610
O: 0.148 0.654 0.768
O: 0.148 0.846 0.268
O: 0.149 0.104 0.768
O: 0.149 0.396 0.268
O: 0.315 0.121 0.298
O: 0.315 0.379 0.798
O: 0.332 0.611 0.963
O: 0.332 0.889 0.463
O: 0.334 0.148 0.965
O: 0.334 0.352 0.465
O: 0.376 0.621 0.334
O: 0.376 0.879 0.834
O: 0.414 0.660 0.665
O: 0.414 0.840 0.165
O: 0.417 0.097 0.670
O: 0.417 0.403 0.170
O: 0.583 0.597 0.830
O: 0.583 0.903 0.330
O: 0.586 0.160 0.835
O: 0.586 0.340 0.335
O: 0.624 0.121 0.166
O: 0.624 0.379 0.666
O: 0.666 0.648 0.535
O: 0.666 0.852 0.035
O: 0.668 0.111 0.537
O: 0.668 0.389 0.037
O: 0.685 0.621 0.202
O: 0.685 0.879 0.702
O: 0.851 0.604 0.732
O: 0.851 0.896 0.232
O: 0.852 0.154 0.732
O: 0.852 0.346 0.232
O: 0.960 0.618 0.390
O: 0.960 0.882 0.890
O: 0.995 0.623 0.108
O: 0.995 0.877 0.608